[1]
This entry pairs a crystal structure of In4NiCl with its simulated PXRD pattern. Radiation: Cu Ka. Structure: a cell relaxed with GGA-PBE.
Neutral-atom scattering factors, no anomalous dispersion.

Principal peaks in the range 10° ≤ 2θ ≤ 90°, sorted by position:
d_spacing, I_rel, hkl
4.935, 48, 1 1 1
2.577, 100, 3 1 1
2.467, 69, 2 2 2
1.645, 32, 3 3 3
1.511, 31, 4 4 0
1.289, 25, 6 2 2

Atomic structure:
Cell: 8.548 8.548 8.548 Å, 90.00 90.00 90.00°
Space group F-43m (No. 216)
Inequivalent atoms, fractional coordinates:
1 In 0.125 0.125 0.125 [16 per cell]
2 Ni 0.250 0.250 0.750 [4 per cell]
3 Cl 0.000 0.000 0.500 [4 per cell]

[2]
This entry pairs a crystal structure of Pa2ReN6 with its simulated PXRD pattern. Radiation: Cu Ka. Structure: a cell relaxed with GGA-PBE.
Neutral-atom scattering factors, no anomalous dispersion.

Principal peaks in the range 10° ≤ 2θ ≤ 90°, sorted by position:
d_spacing, I_rel, hkl
3.057, 100, 0 1 1
2.749, 77, 1 1 0
2.044, 42, 2 0 1
1.839, 22, 1 0 2
1.640, 36, 1 2 1
1.587, 19, 3 0 0

Atomic structure:
Cell: 5.4977 5.4977 3.9869 Å, 90.00 90.00 120.00°
Space group P-3 (No. 147)
Inequivalent atoms, fractional coordinates:
1 Pa 0.3333 0.6667 0.2608 [2 per cell]
2 Re 0.0000 0.0000 0.0000 [1 per cell]
3 N 0.0822 0.3474 0.7460 [6 per cell]

[3]
This entry pairs a crystal structure of Dy7HgSe5 with its simulated PXRD pattern. Radiation: Cu Ka. Structure: a cell relaxed with GGA-PBE.
Neutral-atom scattering factors, no anomalous dispersion.

Principal peaks in the range 10° ≤ 2θ ≤ 90°, sorted by position:
d_spacing, I_rel, hkl
3.085, 76, 0 2 7
2.913, 100, 1 3 2
2.814, 62, 1 3 3
2.218, 33, 1 1 9
2.028, 84, 2 0 0
1.694, 27, 2 2 7

Atomic structure:
Cell: 4.053 13.388 24.330 Å, 90.00 90.00 90.00°
Space group Cmcm (No. 63)
Inequivalent atoms, fractional coordinates:
1 Dy 0.000 0.024 0.250 [4 per cell]
2 Dy 0.000 0.138 0.536 [8 per cell]
3 Dy 0.000 0.315 0.178 [8 per cell]
4 Dy 0.000 0.408 0.612 [8 per cell]
5 Hg 0.000 0.303 0.750 [4 per cell]
6 Se 0.000 0.049 0.641 [8 per cell]
7 Se 0.000 0.225 0.071 [8 per cell]
8 Se 0.000 0.500 0.000 [4 per cell]